No. 1
The following is a simulated powder X-ray diffraction pattern of LaPu3. It was derived from a cell relaxed with PBE, using CuKα.
Neutral-atom scattering factors, no anomalous dispersion.

Top 10 peaks for 2θ = 15–90°, by angle:
2theta	I (rel.)
29.86	22.6
30.02	28.9
33.40	60.6
34.07	100.0
34.31	79.4
34.45	65.3
45.51	19.0
60.13	20.2
60.32	29.6
64.02	22.2

Structural model:
abc: 6.867 5.366 6.928
angles: 90.00 119.36 90.00
Element x y z (fractional)
La: 0.000 0.000 0.000
La: 0.341 0.500 0.671
Pu: 0.352 0.500 0.191
Pu: 0.506 0.000 0.996
Pu: 0.518 0.000 0.494
Pu: 0.832 0.500 0.217
Pu: 0.842 0.500 0.684
Pu: 0.985 0.000 0.500

=====

No. 2
The following is a simulated powder X-ray diffraction pattern of Ca5Zn3. It was derived from a cell relaxed with PBE, using CuKα.
Neutral-atom scattering factors, no anomalous dispersion.

Top 10 peaks for 2θ = 15–90°, by angle:
2theta	I (rel.)
19.69	30.0
30.80	100.0
32.06	13.5
32.60	40.0
35.97	47.9
38.96	13.2
41.67	13.7
47.57	16.0
61.05	14.2
64.98	13.8

Structural model:
abc: 9.468 9.468 9.468
angles: 130.72 130.72 72.27
Element x y z (fractional)
Ca: 0.000 0.000 0.000
Ca: 0.023 0.523 0.841
Ca: 0.182 0.023 0.500
Ca: 0.318 0.818 0.841
Ca: 0.477 0.318 0.500
Ca: 0.500 0.500 0.000
Ca: 0.523 0.682 0.500
Ca: 0.682 0.182 0.159
Ca: 0.818 0.977 0.500
Ca: 0.977 0.477 0.159
Zn: 0.117 0.383 0.500
Zn: 0.250 0.250 0.000
Zn: 0.383 0.883 0.265
Zn: 0.617 0.117 0.735
Zn: 0.750 0.750 0.000
Zn: 0.883 0.617 0.500

=====

> What is the formula in the second record?

Ca5Zn3